Computed powder XRD pattern
Compound: MgV4Cu2S8
Radiation: Cu Kα, 1.54184 Å
Structure: a DFT-relaxed cell (PBE, the Materials Project)
Lines closer than 0.1° are merged.

Atomic structure:
```
MgV4Cu2S8
1.0
-3.473 3.482 5.454
3.473 -3.482 5.454
3.473 3.482 -5.454
Mg V Cu S
1 4 2 8
Direct
0.000 0.000 0.000
0.166 0.397 0.769
0.209 0.483 0.275
0.209 0.934 0.725
0.628 0.397 0.231
0.561 0.061 0.500
0.743 0.743 0.000
0.357 0.631 0.726
0.399 0.175 0.224
0.419 0.165 0.746
0.419 0.672 0.254
0.877 0.153 0.276
0.877 0.601 0.724
0.905 0.631 0.274
0.950 0.175 0.776
```

Peak list (6 most intense, 5° ≤ 2θ ≤ 70°, by angle)
| d_spacing | Rel. int. |
| --- | --- |
| 3.478 | 32 |
| 3.222 | 57 |
| 2.992 | 100 |
| 2.459 | 33 |
| 1.900 | 42 |
| 1.826 | 61 |